Diffraction record for Fe3Mo2W4N3. The powder X-ray diffraction pattern is theoretical, not measured: it uses a crystal structure in OQMD, relaxed with PBE and Cu Ka.
Neutral-atom scattering factors, no anomalous dispersion.

Largest 10 diffraction maxima, by angle, 2θ = 10–80°:
index, Position (°2θ), d (Å), I/Imax
0 0 4, 25.75, 3.460, 44.2
3 1 -1, 36.48, 2.463, 24.0
0 2 1, 36.80, 2.442, 32.3
3 1 -2, 37.01, 2.429, 33.2
3 1 0, 37.14, 2.421, 27.0
0 0 6, 39.07, 2.305, 25.7
0 2 3, 41.35, 2.183, 100.0
3 1 2, 41.75, 2.163, 50.1
2 2 -3, 44.93, 2.017, 39.7
3 3 -1, 65.30, 1.429, 22.7

```
data_Fe3Mo2W4N3
_cell_length_a 8.513
_cell_length_b 4.962
_cell_length_c 14.154
_cell_angle_alpha 90.00
_cell_angle_beta 102.24
_cell_angle_gamma 90.00
_space_group_name_H-M_alt 'C 1 2/c 1'
_space_group_IT_number 15
_space_group_name_Hall '-C 2yc'
loop_
_atom_site_label
_atom_site_fract_x
_atom_site_fract_y
_atom_site_fract_z
Fe1 0.000 0.091 0.250
Fe2 0.246 0.168 0.750
Mo1 0.031 0.413 0.837
W1 0.113 0.089 0.092
W2 0.225 0.083 0.408
N1 0.083 0.253 0.499
N2 0.250 0.250 0.000
```

***

Diffraction record for Tm2FeSi2WC. The powder X-ray diffraction pattern is theoretical, not measured: it uses a crystal structure in OQMD, relaxed with PBE and Cu Ka.
Neutral-atom scattering factors, no anomalous dispersion.

Largest 10 diffraction maxima, by angle, 2θ = 10–80°:
index, Position (°2θ), d (Å), I/Imax
2 0 -2, 25.78, 3.456, 56.5
2 0 1, 33.12, 2.705, 43.1
1 1 1, 33.72, 2.658, 19.2
4 0 -1, 34.32, 2.613, 22.1
3 1 -1, 34.51, 2.599, 89.2
1 1 -2, 36.40, 2.468, 100.0
3 1 0, 39.36, 2.289, 23.4
4 0 -3, 41.06, 2.198, 29.8
0 2 0, 48.23, 1.887, 26.4
1 1 3, 62.56, 1.485, 16.2

```
data_Tm2FeSi2WC
_cell_length_a 10.807
_cell_length_b 3.774
_cell_length_c 6.916
_cell_angle_alpha 90.00
_cell_angle_beta 126.94
_cell_angle_gamma 90.00
_space_group_name_H-M_alt 'C 1 m 1'
_space_group_IT_number 8
_space_group_name_Hall 'C -2y'
loop_
_atom_site_label
_atom_site_fract_x
_atom_site_fract_y
_atom_site_fract_z
Tm1 0.000 0.000 0.000
Tm2 0.141 0.000 0.590
Fe1 0.276 0.500 0.381
Si1 0.197 0.500 0.965
Si2 0.416 0.000 0.609
W1 0.369 0.000 0.210
C1 0.081 0.500 0.302
```

***

Diffraction record for KErO3. The powder X-ray diffraction pattern is theoretical, not measured: it uses a crystal structure in OQMD, relaxed with PBE and Cu Ka.
Neutral-atom scattering factors, no anomalous dispersion.

Largest 10 diffraction maxima, by angle, 2θ = 10–80°:
index, Position (°2θ), d (Å), I/Imax
0 1 2, 20.32, 4.371, 64.7
1 0 4, 28.89, 3.090, 100.0
0 2 4, 41.31, 2.185, 33.3
1 1 6, 46.46, 1.955, 30.6
3 0 0, 51.17, 1.785, 31.7
0 1 8, 51.28, 1.782, 10.3
2 2 0, 59.80, 1.547, 10.0
2 0 8, 59.91, 1.544, 10.3
3 1 2, 63.87, 1.457, 11.7
1 2 8, 67.81, 1.382, 17.7

```
data_KErO3
_cell_length_a 6.1864
_cell_length_b 6.1864
_cell_length_c 15.1133
_cell_angle_alpha 90.00
_cell_angle_beta 90.00
_cell_angle_gamma 120.00
_space_group_name_H-M_alt 'R -3 c'
_space_group_IT_number 167
_space_group_name_Hall '-R 3 2"c'
loop_
_atom_site_label
_atom_site_fract_x
_atom_site_fract_y
_atom_site_fract_z
K1 0.0000 0.0000 0.2500
Er1 0.0000 0.0000 0.0000
O1 0.0000 0.4682 0.2500
```

***

Diffraction record for YSi2IrOs. The powder X-ray diffraction pattern is theoretical, not measured: it uses a crystal structure in OQMD, relaxed with PBE and Cu Ka.
Neutral-atom scattering factors, no anomalous dispersion.

Largest 10 diffraction maxima, by angle, 2θ = 10–80°:
index, Position (°2θ), d (Å), I/Imax
0 0 2, 18.17, 4.882, 48.8
1 1 0, 30.52, 2.929, 17.7
1 1 2, 35.74, 2.512, 100.0
0 0 4, 36.82, 2.441, 17.8
2 0 0, 43.70, 2.071, 36.0
2 0 2, 47.69, 1.907, 17.0
1 1 4, 48.55, 1.875, 23.0
2 0 4, 58.43, 1.579, 19.0
1 1 6, 65.63, 1.423, 17.3
3 1 2, 75.07, 1.265, 23.3

```
data_YSi2IrOs
_cell_length_a 4.143
_cell_length_b 4.143
_cell_length_c 9.765
_cell_angle_alpha 90.00
_cell_angle_beta 90.00
_cell_angle_gamma 90.00
_space_group_name_H-M_alt 'I -4 m 2'
_space_group_IT_number 119
_space_group_name_Hall 'I -4 -2'
loop_
_atom_site_label
_atom_site_fract_x
_atom_site_fract_y
_atom_site_fract_z
Y1 0.000 0.000 0.000
Si1 0.000 0.000 0.374
Ir1 0.000 0.500 0.750
Os1 0.000 0.500 0.250
```

***

Diffraction record for HoHg3. The powder X-ray diffraction pattern is theoretical, not measured: it uses a crystal structure in OQMD, relaxed with PBE and Cu Ka.
Neutral-atom scattering factors, no anomalous dispersion.

Largest 9 diffraction maxima, by angle, 2θ = 10–80°:
index, Position (°2θ), d (Å), I/Imax
1 0 1, 23.86, 3.729, 0.5
2 0 0, 31.38, 2.851, 20.1
0 0 2, 36.41, 2.467, 100.0
2 0 2, 48.85, 1.865, 12.0
2 2 0, 55.86, 1.646, 16.1
2 0 3, 65.56, 1.424, 17.6
2 2 2, 68.55, 1.369, 30.9
4 0 2, 77.33, 1.234, 3.2
0 0 4, 77.44, 1.232, 2.1

```
data_HoHg3
_cell_length_a 6.5834
_cell_length_b 6.5834
_cell_length_c 4.9298
_cell_angle_alpha 90.00
_cell_angle_beta 90.00
_cell_angle_gamma 120.00
_space_group_name_H-M_alt 'P 63/m m c'
_space_group_IT_number 194
_space_group_name_Hall '-P 6c 2c'
loop_
_atom_site_label
_atom_site_fract_x
_atom_site_fract_y
_atom_site_fract_z
Ho1 0.3333 0.6667 0.2500
Hg1 0.1668 0.3337 0.7500
```

***

Diffraction record for CuNiHgB. The powder X-ray diffraction pattern is theoretical, not measured: it uses a crystal structure in OQMD, relaxed with PBE and Cu Ka.
Neutral-atom scattering factors, no anomalous dispersion.

Largest 9 diffraction maxima, by angle, 2θ = 10–80°:
index, Position (°2θ), d (Å), I/Imax
1 1 1, 26.12, 3.411, 79.0
2 0 0, 30.25, 2.954, 6.0
2 2 0, 43.31, 2.089, 100.0
3 1 1, 51.28, 1.782, 40.0
2 2 2, 53.74, 1.706, 1.9
4 0 0, 62.92, 1.477, 16.0
3 3 1, 69.32, 1.356, 16.5
4 2 0, 71.39, 1.321, 2.9
4 2 2, 79.46, 1.206, 32.8

```
data_CuNiHgB
_cell_length_a 5.909
_cell_length_b 5.909
_cell_length_c 5.909
_cell_angle_alpha 90.00
_cell_angle_beta 90.00
_cell_angle_gamma 90.00
_space_group_name_H-M_alt 'F -4 3 m'
_space_group_IT_number 216
_space_group_name_Hall 'F -4 2 3'
loop_
_atom_site_label
_atom_site_fract_x
_atom_site_fract_y
_atom_site_fract_z
Cu1 0.000 0.000 0.000
Ni1 0.000 0.000 0.500
Hg1 0.250 0.250 0.250
B1 0.250 0.250 0.750
```

***

Diffraction record for MgNiHgSe3. The powder X-ray diffraction pattern is theoretical, not measured: it uses a crystal structure in OQMD, relaxed with PBE and Cu Ka.
Neutral-atom scattering factors, no anomalous dispersion.

Largest 10 diffraction maxima, by angle, 2θ = 10–80°:
index, Position (°2θ), d (Å), I/Imax
0 2 0, 12.96, 6.828, 92.6
0 2 3, 30.53, 2.928, 22.0
1 3 0, 30.87, 2.897, 100.0
1 3 1, 32.27, 2.774, 25.5
1 3 2, 36.12, 2.487, 90.0
0 2 4, 39.34, 2.290, 37.1
0 6 2, 43.92, 2.061, 33.4
1 1 4, 44.93, 2.018, 31.7
1 5 2, 45.10, 2.010, 32.7
2 0 0, 48.57, 1.875, 26.7

```
data_MgNiHgSe3
_cell_length_a 3.749
_cell_length_b 13.657
_cell_length_c 9.725
_cell_angle_alpha 90.00
_cell_angle_beta 90.00
_cell_angle_gamma 90.00
_space_group_name_H-M_alt 'C m c m'
_space_group_IT_number 63
_space_group_name_Hall '-C 2c 2'
loop_
_atom_site_label
_atom_site_fract_x
_atom_site_fract_y
_atom_site_fract_z
Mg1 0.000 0.249 0.250
Ni1 0.000 0.035 0.750
Hg1 0.000 0.500 0.000
Se1 0.000 0.167 0.589
Se2 0.000 0.419 0.750
```

***

Diffraction record for Tb2TmCu4Si2Ge2. The powder X-ray diffraction pattern is theoretical, not measured: it uses a crystal structure in OQMD, relaxed with PBE and Cu Ka.
Neutral-atom scattering factors, no anomalous dispersion.

Largest 10 diffraction maxima, by angle, 2θ = 10–80°:
index, Position (°2θ), d (Å), I/Imax
0 1 3, 23.58, 3.774, 18.8
1 1 2, 28.53, 3.129, 28.9
0 1 5, 35.21, 2.549, 24.3
1 2 1, 35.45, 2.532, 100.0
1 1 4, 36.49, 2.463, 91.9
0 0 6, 39.10, 2.304, 30.3
2 0 0, 43.63, 2.075, 35.5
0 3 3, 45.87, 1.979, 37.5
1 2 7, 58.92, 1.568, 18.4
2 3 3, 65.15, 1.432, 25.5

```
data_Tb2TmCu4Si2Ge2
_cell_length_a 4.149
_cell_length_b 6.572
_cell_length_c 13.829
_cell_angle_alpha 90.00
_cell_angle_beta 90.00
_cell_angle_gamma 90.00
_space_group_name_H-M_alt 'I m m m'
_space_group_IT_number 71
_space_group_name_Hall '-I 2 2'
loop_
_atom_site_label
_atom_site_fract_x
_atom_site_fract_y
_atom_site_fract_z
Tb1 0.000 0.000 0.130
Tm1 0.000 0.500 0.000
Cu1 0.000 0.190 0.327
Si1 0.000 0.500 0.215
Ge1 0.000 0.305 0.500
```

***

Diffraction record for GaNi7. The powder X-ray diffraction pattern is theoretical, not measured: it uses a crystal structure in OQMD, relaxed with PBE and Cu Ka.
Neutral-atom scattering factors, no anomalous dispersion.

Largest 10 diffraction maxima, by angle, 2θ = 10–80°:
index, Position (°2θ), d (Å), I/Imax
0 0 4, 10.52, 8.412, 21.0
0 1 13, 43.45, 2.083, 52.3
1 1 0, 44.43, 2.039, 100.0
0 1 14, 45.76, 1.983, 47.3
1 0 13, 50.69, 1.801, 33.3
0 2 0, 52.16, 1.754, 30.2
1 0 14, 52.76, 1.735, 29.2
1 2 13, 75.68, 1.257, 17.7
2 0 0, 75.91, 1.253, 9.1
1 2 14, 77.35, 1.234, 17.0

```
data_GaNi7
_cell_length_a 2.508
_cell_length_b 3.509
_cell_length_c 33.647
_cell_angle_alpha 90.00
_cell_angle_beta 90.00
_cell_angle_gamma 90.00
_space_group_name_H-M_alt 'P m m n'
_space_group_IT_number 59
loop_
_space_group_symop_operation_xyz
'x,y,z'
'-x,-y,-z'
'-x+1/2,-y+1/2,z'
'x+1/2,y+1/2,-z'
'x+1/2,-y,-z'
'-x+1/2,y,z'
'-x,y+1/2,-z'
'x,-y+1/2,z'
loop_
_atom_site_label
_atom_site_fract_x
_atom_site_fract_y
_atom_site_fract_z
Ga1 0.250 0.250 0.222
Ni1 0.250 0.250 0.298
Ni2 0.250 0.250 0.371
Ni3 0.250 0.250 0.445
Ni4 0.250 0.250 0.518
Ni5 0.250 0.250 0.592
Ni6 0.250 0.250 0.666
Ni7 0.250 0.250 0.742
```

***

Diffraction record for CuOs. The powder X-ray diffraction pattern is theoretical, not measured: it uses a crystal structure in OQMD, relaxed with PBE and Cu Ka.
Neutral-atom scattering factors, no anomalous dispersion.

Largest 9 diffraction maxima, by angle, 2θ = 10–80°:
index, Position (°2θ), d (Å), I/Imax
0 0 1, 20.49, 4.334, 31.5
1 0 0, 39.02, 2.308, 36.8
0 0 2, 41.68, 2.167, 25.0
1 0 1, 44.47, 2.037, 100.0
1 0 2, 58.41, 1.580, 23.2
0 0 3, 64.50, 1.445, 1.6
1 1 0, 70.69, 1.333, 15.4
1 1 1, 74.49, 1.274, 6.4
1 0 3, 78.03, 1.225, 19.0

```
data_CuOs
_cell_length_a 2.6654
_cell_length_b 2.6654
_cell_length_c 4.3342
_cell_angle_alpha 90.00
_cell_angle_beta 90.00
_cell_angle_gamma 120.00
_space_group_name_H-M_alt 'P -6 m 2'
_space_group_IT_number 187
_space_group_name_Hall 'P -6 2'
loop_
_atom_site_label
_atom_site_fract_x
_atom_site_fract_y
_atom_site_fract_z
Cu1 0.0000 0.0000 0.0000
Os1 0.6667 0.3333 0.5000
```